[1]
For Sm3Ag4Pb4, a PBE-relaxed structure gives the computed powder X-ray diffraction pattern in this record (Cu Kα X-rays).
Kinematic intensities with the Lorentz-polarization factor, no thermal factor.

Structure:
a b c (Å): 9.019 9.019 9.019
angles (deg): 149.79 130.93 58.71
Sites, in units of the cell vectors:
Sm: 0.000 0.000 0.000
Sm: 0.371 0.871 0.500
Sm: 0.629 0.129 0.500
Ag: 0.026 0.329 0.697
Ag: 0.369 0.671 0.697
Ag: 0.631 0.329 0.303
Ag: 0.974 0.671 0.303
Pb: 0.214 0.214 0.000
Pb: 0.299 0.500 0.799
Pb: 0.701 0.500 0.201
Pb: 0.786 0.786 0.000

The 10 most intense peaks (10° ≤ 2θ ≤ 80°), low angle first:
30.84 deg, intensity 25; 31.06 deg, intensity 100; 32.00 deg, intensity 80; 34.24 deg, intensity 25; 38.30 deg, intensity 47; 40.00 deg, intensity 19; 42.04 deg, intensity 17; 42.16 deg, intensity 38; 42.58 deg, intensity 26; 70.15 deg, intensity 18

[2]
For Ag2Sn2Pb3, a PBE-relaxed structure gives the computed powder X-ray diffraction pattern in this record (Cu Kα X-rays).
Kinematic intensities with the Lorentz-polarization factor, no thermal factor.

Structure:
a b c (Å): 8.969 8.969 8.969
angles (deg): 33.76 33.76 33.76
Sites, in units of the cell vectors:
Ag: 0.000 0.000 0.000
Ag: 0.489 0.489 0.489
Sn: 0.234 0.234 0.234
Sn: 0.748 0.748 0.748
Pb: 0.369 0.369 0.369
Pb: 0.621 0.621 0.621
Pb: 0.867 0.867 0.867

The 10 most intense peaks (10° ≤ 2θ ≤ 80°), low angle first:
10.47 deg, intensity 10; 19.99 deg, intensity 12; 20.91 deg, intensity 11; 26.45 deg, intensity 13; 34.44 deg, intensity 100; 34.60 deg, intensity 94; 49.62 deg, intensity 34; 61.76 deg, intensity 54; 62.09 deg, intensity 15; 72.61 deg, intensity 12